Structure and theoretical powder X-ray diffraction pattern of Ta6HgS12 (a GGA-PBE-relaxed structure; copper Kα).

Largest 6 diffraction maxima, in order of rising 2θ, 10° ≤ 2θ ≤ 80°:
d/Å	2theta	I (rel.)
3.570	24.95	100
2.971	30.08	43
2.291	39.33	21
1.998	45.39	24
1.969	46.10	22
1.872	48.63	24

Atomic structure:
Lattice parameters (Å, degrees): 7.4895 7.4895 7.4895 104.13 104.13 104.13
Sites, in units of the cell vectors:
Ta (0.2482, 0.2482, 0.6382)
Ta (0.2482, 0.6382, 0.2482)
Ta (0.3618, 0.7518, 0.7518)
Ta (0.6382, 0.2482, 0.2482)
Ta (0.7518, 0.3618, 0.7518)
Ta (0.7518, 0.7518, 0.3618)
Hg (0.0000, 0.0000, 0.0000)
S (0.1268, 0.5000, 0.8732)
S (0.1268, 0.8732, 0.5000)
S (0.1763, 0.4570, 0.4570)
S (0.4570, 0.1763, 0.4570)
S (0.4570, 0.4570, 0.1763)
S (0.5000, 0.1268, 0.8732)
S (0.5000, 0.8732, 0.1268)
S (0.5430, 0.5430, 0.8237)
S (0.5430, 0.8237, 0.5430)
S (0.8237, 0.5430, 0.5430)
S (0.8732, 0.1268, 0.5000)
S (0.8732, 0.5000, 0.1268)